The following is a calculated PXRD pattern of Ni2AsW. It was derived from a DFT-relaxed cell (PBE, Alexandria), using a wavelength of 1.5418 Å.

Principal peaks in the range 10 to 90 degrees two-theta, low angle first:
d_spacing	Position (°2θ)	I_rel	index
4.254	20.88	147	0 0 2
3.775	23.57	98	0 1 1
2.793	32.04	84	1 0 1
2.127	42.50	195	0 0 4
2.104	42.98	1000	0 2 0
1.497	62.01	124	0 2 4
1.224	78.11	116	1 1 6
1.215	78.73	130	1 3 2

Structure:
Lattice parameters (Å, degrees): 2.9572 4.2121 8.5090 90.00 90.00 90.00
Space group Immm (No. 71)
Symmetry-distinct sites (fractional):
Ni 0.0000 0.0000 0.2314 x4
As 0.0000 0.5000 0.5000 x2
W 0.0000 0.5000 0.0000 x2